This entry pairs a crystal structure of SmHoCr2O8 with its computed PXRD pattern. Radiation: Cu Kα (weighted mean of Kα1 and Kα2). Structure: a crystal structure in Alexandria, relaxed with PBE+U.
Lines closer than 0.1° are merged.

Main lines, by intensity (2θ from 10° to 90°):
| 2θ/deg | I (rel.) |
| --- | --- |
| 24.48 | 100 |
| 33.25 | 69 |
| 48.97 | 58 |
| 18.59 | 35 |
| 34.90 | 22 |
| 61.54 | 17 |
| 50.19 | 16 |
| 39.83 | 14 |
| 56.61 | 14 |
| 72.74 | 13 |

a = 6.037 Å, b = 6.037 Å, c = 6.037 Å
α = 105.94°, β = 105.94°, γ = 116.79°
Element x y z (fractional)
Sm (0.000, 0.000, 0.000)
Ho (0.750, 0.250, 0.500)
Cr (0.250, 0.750, 0.500)
Cr (0.500, 0.500, 0.000)
O (0.074, 0.393, 0.319)
O (0.074, 0.755, 0.681)
O (0.144, 0.330, 0.814)
O (0.245, 0.926, 0.319)
O (0.515, 0.330, 0.186)
O (0.607, 0.926, 0.681)
O (0.670, 0.485, 0.814)
O (0.670, 0.856, 0.186)

***

This entry pairs a crystal structure of Ho2TiCrO6 with its computed PXRD pattern. Radiation: Cu Kα (weighted mean of Kα1 and Kα2). Structure: a crystal structure in Alexandria, relaxed with PBE+U.
Lines closer than 0.1° are merged.

Main lines, by intensity (2θ from 10° to 90°):
| 2θ/deg | I (rel.) |
| --- | --- |
| 30.21 | 100 |
| 17.74 | 40 |
| 34.56 | 34 |
| 59.26 | 29 |
| 50.71 | 25 |
| 43.83 | 25 |
| 39.11 | 21 |
| 49.68 | 20 |
| 24.25 | 18 |
| 68.38 | 13 |

a = 5.190 Å, b = 5.190 Å, c = 4.998 Å
α = 90.00°, β = 90.00°, γ = 90.00°
Element x y z (fractional)
Ho (0.000, 0.500, 0.000)
Ho (0.500, 0.000, 0.000)
Ti (0.000, 0.000, 0.591)
Cr (0.500, 0.500, 0.595)
O (0.000, 0.000, 0.223)
O (0.240, 0.240, 0.740)
O (0.240, 0.760, 0.740)
O (0.500, 0.500, 0.165)
O (0.760, 0.240, 0.740)
O (0.760, 0.760, 0.740)

***

This entry pairs a crystal structure of YHoCr2O8 with its computed PXRD pattern. Radiation: Cu Kα (weighted mean of Kα1 and Kα2). Structure: a crystal structure in Alexandria, relaxed with PBE+U.
Lines closer than 0.1° are merged.

Main lines, by intensity (2θ from 10° to 90°):
| 2θ/deg | I (rel.) |
| --- | --- |
| 24.72 | 100 |
| 33.49 | 66 |
| 49.40 | 57 |
| 18.73 | 30 |
| 35.24 | 19 |
| 62.13 | 17 |
| 50.69 | 16 |
| 40.20 | 13 |
| 57.19 | 13 |
| 73.49 | 12 |

a = 5.986 Å, b = 5.986 Å, c = 5.986 Å
α = 106.02°, β = 106.02°, γ = 116.63°
Element x y z (fractional)
Y (0.000, 0.000, 0.000)
Ho (0.250, 0.750, 0.500)
Cr (0.500, 0.500, 0.000)
Cr (0.750, 0.250, 0.500)
O (0.326, 0.141, 0.815)
O (0.326, 0.511, 0.185)
O (0.391, 0.074, 0.316)
O (0.489, 0.674, 0.815)
O (0.758, 0.074, 0.684)
O (0.859, 0.674, 0.185)
O (0.926, 0.242, 0.316)
O (0.926, 0.609, 0.684)